Simulated PXRD pattern of Li4Fe3Ni3O12 for CuKα, from a GGA+U-relaxed structure.

Cell and atoms:
abc: 5.7006 8.8094 17.0521
angles: 90.00 90.00 90.00
Space group F222 (No. 22)
Unique sites:
Li  0.0000  0.0000  0.1705 [8 per cell]
Li  0.2500  0.2500  0.0793 [8 per cell]
Fe  0.0000  0.0000  0.0000 [4 per cell]
Fe  0.0000  0.0000  0.3362 [8 per cell]
Ni  0.2500  0.2500  0.2500 [4 per cell]
Ni  0.2500  0.2500  0.5854 [8 per cell]
O  0.0000  0.2160  0.0000 [8 per cell]
O  0.0121  0.2181  0.3369 [16 per cell]
O  0.2394  0.0290  0.9131 [16 per cell]
O  0.2500  0.0332  0.2500 [8 per cell]

The 12 most intense peaks (10 to 80 degrees two-theta), in order of rising 2θ:
- 24.31°, rel. 100
- 37.63°, rel. 18
- 37.93°, rel. 12
- 40.98°, rel. 22
- 45.05°, rel. 39
- 51.78°, rel. 11
- 51.90°, rel. 11
- 57.06°, rel. 13
- 62.52°, rel. 21
- 65.50°, rel. 5
- 65.71°, rel. 5
- 72.43°, rel. 6